No. 1
Structure and computed X-ray diffraction stick pattern of CsRbAsAu (a GGA-PBE-relaxed structure; Cu Ka).

Cell: 6.653 10.758 7.840 Å, 90.00 90.00 90.00°
Space group Amm2 (No. 38)
Inequivalent atoms, fractional coordinates:
Cs 0.000 0.173 0.000
Rb 0.500 0.171 0.303
As 0.000 0.000 0.405
As 0.500 0.000 0.892
Au 0.251 0.000 0.647

Main lines, by angle (2θ = 15–90°):
hkl 1 0 2, 26.4 deg, d = 3.377 Å, intensity 46.1; hkl 0 3 1, 27.3 deg, d = 3.261 Å, intensity 100.0; hkl 2 1 1, 30.3 deg, d = 2.945 Å, intensity 92.0; hkl 1 3 1, 30.5 deg, d = 2.928 Å, intensity 90.8; hkl 2 0 2, 35.4 deg, d = 2.538 Å, intensity 95.9; hkl 2 3 3, 51.2 deg, d = 1.783 Å, intensity 56.3

=====

No. 2
Structure and computed X-ray diffraction stick pattern of CsRbAsAu (a GGA-PBE-relaxed structure; Cu Ka).

Cell: 6.610 6.634 6.688 Å, 90.00 107.56 90.00°
Space group P2_1/m (No. 11)
Inequivalent atoms, fractional coordinates:
Cs 0.024 0.250 0.176
Rb 0.323 0.750 0.483
As 0.266 0.250 0.748
Au 0.500 0.000 0.000

Main lines, by angle (2θ = 15–90°):
hkl 1 1 1, 26.4 deg, d = 3.380 Å, intensity 50.6; hkl 2 0 -1, 27.5 deg, d = 3.240 Å, intensity 60.7; hkl 1 2 0, 30.4 deg, d = 2.938 Å, intensity 100.0; hkl 1 1 -2, 30.5 deg, d = 2.933 Å, intensity 51.8; hkl 1 2 1, 35.4 deg, d = 2.535 Å, intensity 79.3; hkl 3 0 -3, 51.1 deg, d = 1.789 Å, intensity 50.8

=====

No. 3
Structure and computed X-ray diffraction stick pattern of CsRbAsAu (a GGA-PBE-relaxed structure; Cu Ka).

Cell: 6.665 7.854 10.726 Å, 90.00 90.00 90.00°
Space group Ama2 (No. 40)
Inequivalent atoms, fractional coordinates:
Cs 0.250 0.151 0.000
Rb 0.250 0.152 0.656
As 0.250 0.242 0.333
Au 0.000 0.000 0.326

Main lines, by angle (2θ = 15–90°):
hkl 0 1 3, 27.4 deg, d = 3.254 Å, intensity 100.0; hkl 2 1 1, 30.3 deg, d = 2.949 Å, intensity 93.8; hkl 1 1 3, 30.6 deg, d = 2.924 Å, intensity 91.6; hkl 2 2 0, 35.3 deg, d = 2.542 Å, intensity 98.4; hkl 0 4 2, 49.4 deg, d = 1.844 Å, intensity 48.7; hkl 2 3 3, 51.2 deg, d = 1.784 Å, intensity 58.0

=====

No. 4
Structure and computed X-ray diffraction stick pattern of Cs2AsAuS4 (a GGA-PBE-relaxed structure; Cu Ka).

Cell: 6.921 7.331 11.617 Å, 107.10 96.10 108.85°
Space group P-1 (No. 2)
Inequivalent atoms, fractional coordinates:
Cs 0.238 0.226 0.186
Cs 0.254 0.856 0.595
As 0.149 0.394 0.778
Au 0.379 0.725 0.110
S 0.206 0.727 0.273
S 0.245 0.211 0.879
S 0.256 0.364 0.607
S 0.271 0.722 0.894

Main lines, by angle (2θ = 15–90°):
hkl 1 1 -2, 23.1 deg, d = 3.847 Å, intensity 74.9; hkl 1 0 2, 23.8 deg, d = 3.740 Å, intensity 79.2; hkl 1 -2 1, 24.9 deg, d = 3.572 Å, intensity 100.0; hkl -2 1 1, 27.0 deg, d = 3.307 Å, intensity 56.8; hkl 0 2 0, 27.4 deg, d = 3.251 Å, intensity 58.1; hkl 0 2 1, 31.4 deg, d = 2.853 Å, intensity 53.5

=====

No. 5
Structure and computed X-ray diffraction stick pattern of K4CuAs2Au (a GGA-PBE-relaxed structure; Cu Ka).

Cell: 7.657 10.069 6.071 Å, 90.00 91.10 90.00°
Space group C2/m (No. 12)
Inequivalent atoms, fractional coordinates:
K 0.151 0.172 0.251
Cu 0.000 0.500 0.000
As 0.249 0.000 0.766
Au 0.000 0.500 0.500

Main lines, by angle (2θ = 15–90°):
hkl 0 2 0, 17.6 deg, d = 5.035 Å, intensity 70.3; hkl 1 1 1, 20.8 deg, d = 4.268 Å, intensity 41.6; hkl 1 3 0, 29.0 deg, d = 3.074 Å, intensity 52.3; hkl 1 3 1, 32.7 deg, d = 2.735 Å, intensity 100.0; hkl 3 1 0, 36.3 deg, d = 2.474 Å, intensity 25.7; hkl 2 2 -2, 41.7 deg, d = 2.167 Å, intensity 29.4

=====

No. 6
Structure and computed X-ray diffraction stick pattern of Sr2CuAs2Au (a GGA-PBE-relaxed structure; Cu Ka).

Cell: 4.4286 4.4286 8.5567 Å, 90.00 90.00 120.00°
Space group P-6m2 (No. 187)
Inequivalent atoms, fractional coordinates:
Sr 0.0000 0.0000 0.2471
Cu 0.3333 0.6667 0.0000
As 0.3333 0.6667 0.5000
As 0.6667 0.3333 0.0000
Au 0.6667 0.3333 0.5000

Main lines, by angle (2θ = 15–90°):
hkl 1 0 2, 31.3 deg, d = 2.856 Å, intensity 100.0; hkl 1 1 0, 40.7 deg, d = 2.214 Å, intensity 52.7; hkl 0 0 4, 42.2 deg, d = 2.140 Å, intensity 20.1; hkl 2 0 2, 52.3 deg, d = 1.750 Å, intensity 25.9; hkl 1 1 4, 60.1 deg, d = 1.539 Å, intensity 33.0; hkl 2 1 2, 68.3 deg, d = 1.373 Å, intensity 20.6

=====

No. 7
Structure and computed X-ray diffraction stick pattern of AsH4WAuSe4 (a GGA-PBE-relaxed structure; Cu Ka).

Cell: 5.835 6.905 6.905 Å, 79.79 65.10 65.09°
Space group P1 (No. 1)
Inequivalent atoms, fractional coordinates:
As 0.000 0.000 0.000
H 0.096 0.913 0.183
H 0.197 0.081 0.815
H 0.726 0.188 0.084
H 0.982 0.820 0.917
W 0.250 0.500 0.500
Au 0.750 0.499 0.500
Se 0.231 0.188 0.419
Se 0.350 0.419 0.812
Se 0.580 0.581 0.189
Se 0.839 0.811 0.581

Main lines, by angle (2θ = 15–90°):
hkl 0 1 1, 20.1 deg, d = 4.428 Å, intensity 68.7; hkl 1 2 1, 27.2 deg, d = 3.277 Å, intensity 83.6; hkl 0 2 0, 28.5 deg, d = 3.131 Å, intensity 42.9; hkl 2 1 2, 33.9 deg, d = 2.645 Å, intensity 46.9; hkl 2 3 0, 44.9 deg, d = 2.020 Å, intensity 100.0; hkl 0 3 1, 45.8 deg, d = 1.980 Å, intensity 48.2

=====

No. 8
Structure and computed X-ray diffraction stick pattern of Hf2AsAu (a GGA-PBE-relaxed structure; Cu Ka).

Cell: 3.474 18.198 5.082 Å, 90.00 90.00 90.00°
Space group Cmcm (No. 63)
Inequivalent atoms, fractional coordinates:
Hf 0.000 0.078 0.250
Hf 0.000 0.295 0.250
As 0.000 0.314 0.750
Au 0.000 0.453 0.250

Main lines, by angle (2θ = 15–90°):
hkl 1 1 1, 31.6 deg, d = 2.833 Å, intensity 76.4; hkl 1 3 1, 34.6 deg, d = 2.593 Å, intensity 61.1; hkl 0 0 2, 35.3 deg, d = 2.541 Å, intensity 99.5; hkl 1 5 0, 35.7 deg, d = 2.513 Å, intensity 77.4; hkl 1 5 1, 40.0 deg, d = 2.253 Å, intensity 100.0; hkl 1 5 2, 51.1 deg, d = 1.787 Å, intensity 56.2

=====

No. 9
Structure and computed X-ray diffraction stick pattern of InAs2Au2 (a GGA-PBE-relaxed structure; Cu Ka).

Cell: 3.463 11.945 11.965 Å, 90.00 90.00 90.00°
Space group Cmcm (No. 63)
Inequivalent atoms, fractional coordinates:
In 0.000 0.022 0.250
As 0.000 0.301 0.049
Au 0.000 0.269 0.250
Au 0.000 0.500 0.000

Main lines, by angle (2θ = 15–90°):
hkl 1 1 1, 27.8 deg, d = 3.205 Å, intensity 54.0; hkl 0 0 4, 29.9 deg, d = 2.989 Å, intensity 100.0; hkl 1 1 2, 30.8 deg, d = 2.907 Å, intensity 69.7; hkl 1 3 2, 37.6 deg, d = 2.395 Å, intensity 27.3; hkl 0 4 4, 42.8 deg, d = 2.113 Å, intensity 31.1; hkl 1 1 5, 46.8 deg, d = 1.942 Å, intensity 37.2

=====

No. 10
Structure and computed X-ray diffraction stick pattern of K3NaAs2Au2 (a GGA-PBE-relaxed structure; Cu Ka).

Cell: 6.108 6.203 6.256 Å, 90.00 104.71 90.00°
Space group Pm (No. 6)
Inequivalent atoms, fractional coordinates:
K 0.000 0.000 0.000
K 0.059 0.500 0.351
K 0.360 0.000 0.662
Na 0.694 0.500 0.695
As 0.287 0.500 0.903
As 0.796 0.000 0.450
Au 0.533 0.251 0.187

Main lines, by angle (2θ = 15–90°):
hkl 1 0 -1, 18.1 deg, d = 4.894 Å, intensity 100.0; hkl 0 2 1, 32.4 deg, d = 2.760 Å, intensity 46.7; hkl 1 2 0, 32.6 deg, d = 2.746 Å, intensity 46.5; hkl 1 0 2, 36.7 deg, d = 2.450 Å, intensity 44.3; hkl 1 2 1, 37.5 deg, d = 2.396 Å, intensity 56.4; hkl 0 2 2, 41.7 deg, d = 2.165 Å, intensity 48.4

=====

No. 11
Structure and computed X-ray diffraction stick pattern of KRbAsAu (a GGA-PBE-relaxed structure; Cu Ka).

Cell: 6.407 6.519 6.501 Å, 90.00 106.41 90.00°
Space group P2_1/m (No. 11)
Inequivalent atoms, fractional coordinates:
K 0.173 0.250 0.019
Rb 0.477 0.750 0.323
As 0.246 0.750 0.757
Au 0.000 0.000 0.500

Main lines, by angle (2θ = 15–90°):
hkl 1 0 -1, 17.2 deg, d = 5.168 Å, intensity 95.6; hkl 1 0 -2, 28.2 deg, d = 3.165 Å, intensity 49.1; hkl 2 0 -1, 28.5 deg, d = 3.129 Å, intensity 57.5; hkl 1 2 0, 31.1 deg, d = 2.880 Å, intensity 79.2; hkl 1 2 1, 36.0 deg, d = 2.492 Å, intensity 100.0; hkl 0 2 2, 40.0 deg, d = 2.254 Å, intensity 56.2

=====

No. 12
Structure and computed X-ray diffraction stick pattern of LiAsAuO (a GGA-PBE-relaxed structure; Cu Ka).

Cell: 3.022 7.940 5.365 Å, 90.00 90.00 90.00°
Space group Pmc2_1 (No. 26)
Inequivalent atoms, fractional coordinates:
Li 0.000 0.080 0.000
As 0.500 0.377 0.834
Au 0.500 0.317 0.348
O 0.000 0.113 0.332

Main lines, by angle (2θ = 15–90°):
hkl 0 1 1, 20.0 deg, d = 4.445 Å, intensity 100.0; hkl 1 0 0, 29.6 deg, d = 3.022 Å, intensity 68.2; hkl 1 1 0, 31.7 deg, d = 2.824 Å, intensity 42.4; hkl 0 0 2, 33.4 deg, d = 2.682 Å, intensity 65.1; hkl 1 0 2, 45.2 deg, d = 2.006 Å, intensity 46.2; hkl 1 3 0, 45.6 deg, d = 1.991 Å, intensity 41.1